Entry 1:
Structure and theoretical powder XRD pattern of Li2Ta2W2O13 (a DFT-relaxed cell (PBE+U, the Materials Project); a wavelength of 1.5418 Å).
No peak broadening, texture or thermal motion is included.

Unit cell a=7.4160 b=7.4160 c=7.4160 alpha=120.23 beta=119.81 gamma=89.96
Element x y z (fractional)
Li 0.0000 0.2311 0.2311
Li 0.0000 0.7689 0.7689
Ta 0.0494 0.8046 0.2448
Ta 0.5598 0.8046 0.7552
W 0.5542 0.3029 0.7486
W 0.5542 0.8056 0.2514
O 0.0419 0.5419 0.5000
O 0.2481 0.1275 0.4989
O 0.2481 0.7492 0.1206
O 0.2502 0.7502 0.5000
O 0.4998 0.4998 0.0000
O 0.5044 0.4979 0.6352
O 0.5044 0.8691 0.0065
O 0.6131 0.1131 0.5000
O 0.6285 0.1275 0.8794
O 0.6285 0.7492 0.5011
O 0.8627 0.4979 0.9935
O 0.8627 0.8691 0.3648
O 0.8885 0.8885 0.0000

Peak list (8 most intense, 2θ from 15° to 90°, by angle)
d 3.162, 28.23°, intensity 100; d 3.034, 29.44°, intensity 62; d 3.021, 29.57°, intensity 55; d 2.622, 34.20°, intensity 39; d 2.021, 44.86°, intensity 20; d 1.854, 49.14°, intensity 32; d 1.775, 51.49°, intensity 21; d 1.583, 58.29°, intensity 26

Entry 2:
Structure and theoretical powder XRD pattern of Li9Mn2Co5O16 (a DFT-relaxed cell (PBE+U, the Materials Project); a wavelength of 1.5418 Å).
No peak broadening, texture or thermal motion is included.

Unit cell a=10.6636 b=10.6636 c=9.8684 alpha=107.43 beta=107.43 gamma=15.66
Element x y z (fractional)
Li 0.0000 0.0000 0.0000
Li 0.1214 0.1214 0.6253
Li 0.2534 0.2534 0.2275
Li 0.3679 0.3679 0.8858
Li 0.5025 0.5025 0.5044
Li 0.6262 0.6262 0.1104
Li 0.7478 0.7478 0.7567
Li 0.8116 0.8116 0.0632
Li 0.8725 0.8725 0.3596
Mn 0.3121 0.3121 0.5577
Mn 0.4320 0.4320 0.1847
Co 0.0608 0.0608 0.3116
Co 0.1971 0.1971 0.9397
Co 0.5669 0.5669 0.8147
Co 0.6848 0.6848 0.4275
Co 0.9398 0.9398 0.6927
O 0.0272 0.0272 0.6606
O 0.0922 0.0922 0.9577
O 0.1559 0.1559 0.2933
O 0.2195 0.2195 0.5634
O 0.2748 0.2748 0.8974
O 0.3502 0.3502 0.2153
O 0.4019 0.4019 0.5468
O 0.4664 0.4664 0.8320
O 0.5259 0.5259 0.1651
O 0.5919 0.5919 0.4597
O 0.6525 0.6525 0.7847
O 0.7162 0.7162 0.0833
O 0.7868 0.7868 0.4209
O 0.8368 0.8368 0.6968
O 0.9089 0.9089 0.0472
O 0.9651 0.9651 0.3254

Peak list (8 most intense, 2θ from 15° to 90°, by angle)
d 4.862, 18.25°, intensity 100; d 2.517, 35.66°, intensity 14; d 2.489, 36.09°, intensity 25; d 2.095, 43.19°, intensity 27; d 2.075, 43.61°, intensity 54; d 1.607, 57.35°, intensity 10; d 1.479, 62.82°, intensity 14; d 1.469, 63.29°, intensity 14

Entry 3:
Structure and theoretical powder XRD pattern of ZnW4O6 (a DFT-relaxed cell (PBE+U, the Materials Project); a wavelength of 1.5418 Å).
No peak broadening, texture or thermal motion is included.

Unit cell a=5.6795 b=5.6795 c=16.5422 alpha=90.00 beta=90.00 gamma=146.68
Element x y z (fractional)
Zn 0.1921 0.8079 0.7500
Zn 0.8079 0.1921 0.2500
W 0.1137 0.8863 0.1334
W 0.1137 0.8863 0.3666
W 0.3617 0.6383 0.0497
W 0.3617 0.6383 0.4503
W 0.6383 0.3617 0.5497
W 0.6383 0.3617 0.9503
W 0.8863 0.1137 0.6334
W 0.8863 0.1137 0.8666
O 0.0000 0.0000 0.0000
O 0.0000 0.0000 0.5000
O 0.1932 0.8068 0.2500
O 0.2316 0.7684 0.6238
O 0.2316 0.7684 0.8762
O 0.4921 0.5079 0.1439
O 0.4921 0.5079 0.3561
O 0.5079 0.4921 0.6439
O 0.5079 0.4921 0.8561
O 0.7684 0.2316 0.1238
O 0.7684 0.2316 0.3762
O 0.8068 0.1932 0.7500

Peak list (8 most intense, 2θ from 15° to 90°, by angle)
d 2.919, 30.63°, intensity 23; d 2.827, 31.65°, intensity 100; d 2.717, 32.96°, intensity 89; d 2.398, 37.51°, intensity 29; d 2.326, 38.72°, intensity 34; d 2.219, 40.67°, intensity 22; d 1.724, 53.14°, intensity 22; d 1.411, 66.24°, intensity 25

Entry 4:
Structure and theoretical powder XRD pattern of NiSnO3 (a DFT-relaxed cell (PBE+U, the Materials Project); a wavelength of 1.5418 Å).
No peak broadening, texture or thermal motion is included.

Unit cell a=5.6295 b=5.6295 c=5.6295 alpha=56.36 beta=56.36 gamma=56.36
Element x y z (fractional)
Ni 0.1465 0.1465 0.1465
Ni 0.8535 0.8535 0.8535
Sn 0.3538 0.3538 0.3538
Sn 0.6462 0.6462 0.6462
O 0.0505 0.7472 0.4505
O 0.2528 0.5495 0.9495
O 0.4505 0.0505 0.7472
O 0.5495 0.9495 0.2528
O 0.7472 0.4505 0.0505
O 0.9495 0.2528 0.5495

Peak list (8 most intense, 2θ from 15° to 90°, by angle)
d 3.860, 23.04°, intensity 30; d 2.806, 31.89°, intensity 100; d 2.659, 33.71°, intensity 96; d 2.316, 38.88°, intensity 21; d 1.930, 47.09°, intensity 41; d 1.765, 51.81°, intensity 51; d 1.562, 59.16°, intensity 39; d 1.535, 60.30°, intensity 33

Entry 5:
Structure and theoretical powder XRD pattern of Li7Cr5O12 (a DFT-relaxed cell (PBE+U, the Materials Project); a wavelength of 1.5418 Å).
No peak broadening, texture or thermal motion is included.

Unit cell a=5.0935 b=5.0935 c=9.7868 alpha=95.01 beta=95.01 gamma=120.21
Element x y z (fractional)
Li 0.0000 0.0000 0.0000
Li 0.0820 0.4135 0.2459
Li 0.2439 0.2439 0.7537
Li 0.4135 0.0820 0.2459
Li 0.5865 0.9180 0.7541
Li 0.7561 0.7561 0.2463
Li 0.9180 0.5865 0.7541
Cr 0.1676 0.8324 0.5000
Cr 0.3347 0.6653 0.0000
Cr 0.5000 0.5000 0.5000
Cr 0.6653 0.3347 0.0000
Cr 0.8324 0.1676 0.5000
O 0.0374 0.6684 0.1118
O 0.1276 0.1276 0.3843
O 0.2042 0.5389 0.6132
O 0.3316 0.9626 0.8882
O 0.3979 0.3979 0.1120
O 0.4611 0.7958 0.3868
O 0.5389 0.2042 0.6132
O 0.6021 0.6021 0.8880
O 0.6684 0.0374 0.1118
O 0.7958 0.4611 0.3868
O 0.8724 0.8724 0.6157
O 0.9626 0.3316 0.8882

Peak list (8 most intense, 2θ from 15° to 90°, by angle)
d 4.818, 18.42°, intensity 100; d 2.509, 35.79°, intensity 26; d 2.499, 35.93°, intensity 12; d 2.083, 43.45°, intensity 61; d 2.075, 43.62°, intensity 30; d 1.910, 47.62°, intensity 11; d 1.472, 63.14°, intensity 24; d 1.467, 63.39°, intensity 16

Entry 6:
Structure and theoretical powder XRD pattern of KPrHfWO6 (a DFT-relaxed cell (PBE+U, the Materials Project); a wavelength of 1.5418 Å).
No peak broadening, texture or thermal motion is included.

Unit cell a=5.7928 b=5.7928 c=5.7928 alpha=60.00 beta=60.00 gamma=60.00
Element x y z (fractional)
K 0.0000 0.0000 0.0000
Pr 0.5000 0.5000 0.5000
Hf 0.2500 0.2500 0.2500
W 0.7500 0.7500 0.7500
O 0.5010 0.5010 0.9990
O 0.5010 0.9990 0.5010
O 0.5010 0.9990 0.9990
O 0.9990 0.5010 0.5010
O 0.9990 0.5010 0.9990
O 0.9990 0.9990 0.5010

Peak list (8 most intense, 2θ from 15° to 90°, by angle)
d 4.096, 21.70°, intensity 20; d 2.896, 30.87°, intensity 100; d 2.048, 44.22°, intensity 29; d 1.832, 49.78°, intensity 9; d 1.672, 54.90°, intensity 40; d 1.448, 64.33°, intensity 18; d 1.295, 73.05°, intensity 17; d 1.095, 89.53°, intensity 22

Entry 7:
Structure and theoretical powder XRD pattern of BaYMnCuO5 (a DFT-relaxed cell (PBE+U, the Materials Project); a wavelength of 1.5418 Å).
No peak broadening, texture or thermal motion is included.

Unit cell a=3.8393 b=8.8930 c=8.8930 alpha=52.52 beta=90.00 gamma=90.00
Element x y z (fractional)
Ba 0.0000 0.2499 0.7501
Ba 0.0000 0.7501 0.2499
Y 0.0000 0.0166 0.5167
Y 0.0000 0.5167 0.0166
Mn 0.5000 0.1440 0.1440
Mn 0.5000 0.6446 0.6446
Cu 0.5000 0.3731 0.3731
Cu 0.5000 0.8730 0.8730
O 0.0000 0.1661 0.1661
O 0.0000 0.3479 0.3479
O 0.0000 0.6672 0.6672
O 0.0000 0.8489 0.8489
O 0.5000 0.0229 0.0229
O 0.5000 0.1152 0.6163
O 0.5000 0.4365 0.9371
O 0.5000 0.5234 0.5234
O 0.5000 0.6163 0.1152
O 0.5000 0.9371 0.4365

Peak list (8 most intense, 2θ from 15° to 90°, by angle)
d 2.801, 31.95°, intensity 100; d 2.766, 32.37°, intensity 92; d 2.748, 32.59°, intensity 78; d 1.967, 46.14°, intensity 29; d 1.920, 47.36°, intensity 27; d 1.614, 57.07°, intensity 37; d 1.603, 57.48°, intensity 35; d 1.583, 58.28°, intensity 38

Entry 8:
Structure and theoretical powder XRD pattern of LiCoSbO4 (a DFT-relaxed cell (PBE+U, the Materials Project); a wavelength of 1.5418 Å).
No peak broadening, texture or thermal motion is included.

Unit cell a=6.1914 b=6.1914 c=6.1914 alpha=121.59 beta=119.86 gamma=88.75
Element x y z (fractional)
Li 0.3956 0.1456 0.2500
Li 0.6044 0.8544 0.7500
Co 0.0000 0.0000 0.5000
Co 0.0000 0.5000 0.0000
Sb 0.0000 0.5000 0.5000
Sb 0.5000 0.5000 0.0000
O 0.2033 0.7230 0.4803
O 0.2498 0.2733 0.5235
O 0.2498 0.7263 0.9765
O 0.2573 0.2770 0.9803
O 0.7427 0.7230 0.0197
O 0.7502 0.2737 0.0235
O 0.7502 0.7267 0.4765
O 0.7967 0.2770 0.5197

Peak list (8 most intense, 2θ from 15° to 90°, by angle)
d 5.080, 17.46°, intensity 25; d 4.990, 17.77°, intensity 100; d 2.651, 33.81°, intensity 16; d 2.635, 34.03°, intensity 37; d 2.540, 35.34°, intensity 16; d 2.213, 40.78°, intensity 20; d 2.164, 41.73°, intensity 38; d 1.547, 59.77°, intensity 24

Number 3 is which compound?
ZnW4O6